For Dy7Tm, DFT lattice parameters and positions (PBE) gives the theoretical XRD peak list in this record (a wavelength of 1.5418 Å).

Structural model:
```
Dy7Tm
1.0
-1.7563 5.5182 6.4455
1.7563 -5.5182 6.4455
1.7563 5.5182 -6.4455
Dy Tm
7 1
direct
0.0000 0.0000 0.0000
0.1003 0.3677 0.7326
0.2598 0.2598 0.0000
0.3648 0.6323 0.7326
0.6352 0.3677 0.2674
0.7402 0.7402 0.0000
0.8997 0.6323 0.2674
0.5000 0.0000 0.5000
```

The 10 most intense peaks (10° ≤ 2θ ≤ 90°), most intense first:
d/Å	two_theta	I (rel.)
2.783	32.16	100
2.888	30.97	75
2.720	32.94	48
2.759	32.45	47
1.937	46.91	32
1.485	62.54	31
1.564	59.06	25
1.617	56.96	21
1.481	62.72	16
1.598	57.71	16

***

For In12Hg6Te, DFT lattice parameters and positions (PBE) gives the theoretical XRD peak list in this record (a wavelength of 1.5418 Å).

Structural model:
```
In12Hg6Te
1.0
8.2355 0.0000 0.0000
-3.6363 8.1133 0.0000
-0.1444 -4.6137 8.0511
In Hg Te
12 6 1
direct
0.0318 0.1846 0.1887
0.0710 0.0988 0.6822
0.1120 0.7087 0.0592
0.2664 0.8289 0.4345
0.2735 0.5205 0.7576
0.4438 0.1284 0.8162
0.5562 0.8716 0.1838
0.7265 0.4795 0.2424
0.7336 0.1711 0.5655
0.8880 0.2913 0.9408
0.9290 0.9012 0.3178
0.9682 0.8154 0.8113
0.3288 0.4551 0.0964
0.3764 0.1021 0.1261
0.4390 0.2982 0.5026
0.5610 0.7018 0.4974
0.6236 0.8979 0.8739
0.6712 0.5449 0.9036
0.0000 0.5000 0.5000
```

The 10 most intense peaks (10° ≤ 2θ ≤ 90°), most intense first:
d/Å	two_theta	I (rel.)
2.744	32.63	100
2.921	30.61	83
3.005	29.73	70
2.899	30.84	64
2.660	33.69	60
2.801	31.96	60
3.045	29.33	59
2.449	36.70	49
2.642	33.93	48
2.691	33.29	47